1.
# Li4MnFe5O12
Calculated XRD peak list, a wavelength of 1.5418 Å. Input: a crystal structure in the Materials Project, relaxed with GGA+U.

Cell and atoms:
Cell lengths 4.8635, 4.8635, 10.0580 Å; angles 90.07, 90.07, 119.11 degrees
Fractional positions:
Li: 0.1472 0.6557 0.7496
Li: 0.3443 0.8528 0.2504
Li: 0.6557 0.1472 0.7496
Li: 0.8528 0.3443 0.2504
Mn: 0.5000 0.5000 0.5000
Fe: 0.0000 0.0000 0.0000
Fe: 0.1617 0.8383 0.5000
Fe: 0.3379 0.6621 0.0000
Fe: 0.6621 0.3379 0.0000
Fe: 0.8383 0.1617 0.5000
O: 0.0059 0.6683 0.1030
O: 0.1664 0.5059 0.3956
O: 0.1709 0.1709 0.6037
O: 0.3288 0.3288 0.1020
O: 0.3317 0.9941 0.8970
O: 0.4941 0.8336 0.6044
O: 0.5059 0.1664 0.3956
O: 0.6683 0.0059 0.1030
O: 0.6712 0.6712 0.8980
O: 0.8291 0.8291 0.3963
O: 0.8336 0.4941 0.6044
O: 0.9941 0.3317 0.8970

Largest 12 diffraction maxima, by angle, 10 to 90 degrees two-theta:
| 2θ/deg | d_spacing | I/Imax |
| --- | --- | --- |
| 17.64 | 5.029 | 100 |
| 35.71 | 2.514 | 4 |
| 36.46 | 2.465 | 7 |
| 38.08 | 2.363 | 27 |
| 40.77 | 2.213 | 15 |
| 41.24 | 2.189 | 7 |
| 46.12 | 1.968 | 30 |
| 51.89 | 1.762 | 6 |
| 52.02 | 1.758 | 6 |
| 59.65 | 1.550 | 16 |
| 66.68 | 1.403 | 14 |
| 77.10 | 1.237 | 5 |

---

2.
# Li3Mn4Fe2O12
Calculated XRD peak list, a wavelength of 1.5418 Å. Input: a crystal structure in the Materials Project, relaxed with GGA+U.

Cell and atoms:
Cell lengths 5.9308, 5.9456, 14.4512 Å; angles 91.05, 90.09, 119.49 degrees
Fractional positions:
Li: 0.0141 0.0069 0.1283
Li: 0.3321 0.6541 0.4613
Li: 0.3353 0.6788 0.2050
Li: 0.6647 0.3212 0.7950
Li: 0.6679 0.3459 0.5387
Li: 0.9859 0.9931 0.8717
Mn: 0.0000 0.0000 0.5000
Mn: 0.0000 0.5000 0.0000
Mn: 0.1630 0.3309 0.6661
Mn: 0.3237 0.6534 0.8336
Mn: 0.3367 0.1688 0.3327
Mn: 0.6633 0.8312 0.6673
Mn: 0.6763 0.3466 0.1664
Mn: 0.8370 0.6691 0.3339
Fe: 0.1640 0.8307 0.6667
Fe: 0.5000 0.0000 0.0000
Fe: 0.5000 0.5000 0.0000
Fe: 0.8360 0.1693 0.3333
O: 0.0049 0.9892 0.2651
O: 0.0291 0.5063 0.7455
O: 0.1287 0.8254 0.4196
O: 0.1539 0.2898 0.4164
O: 0.1685 0.7999 0.9187
O: 0.1714 0.3649 0.9193
O: 0.2967 0.1525 0.5863
O: 0.3222 0.6657 0.0703
O: 0.3335 0.6522 0.5982
O: 0.3771 0.1939 0.0847
O: 0.4529 0.4842 0.7522
O: 0.4766 0.9488 0.7518
O: 0.5234 0.0512 0.2482
O: 0.5471 0.5158 0.2478
O: 0.6229 0.8061 0.9153
O: 0.6665 0.3478 0.4018
O: 0.6778 0.3343 0.9297
O: 0.7033 0.8475 0.4137
O: 0.8286 0.6351 0.0807
O: 0.8315 0.2001 0.0813
O: 0.8461 0.7102 0.5836
O: 0.8713 0.1746 0.5804
O: 0.9709 0.4937 0.2545
O: 0.9951 0.0108 0.7349

Largest 12 diffraction maxima, by angle, 10 to 90 degrees two-theta:
| 2θ/deg | d_spacing | I/Imax |
| --- | --- | --- |
| 18.18 | 4.880 | 54 |
| 18.32 | 4.843 | 100 |
| 18.42 | 4.816 | 45 |
| 35.14 | 2.554 | 16 |
| 35.58 | 2.524 | 23 |
| 35.80 | 2.508 | 24 |
| 42.54 | 2.125 | 38 |
| 43.34 | 2.088 | 36 |
| 43.47 | 2.082 | 36 |
| 62.06 | 1.496 | 11 |
| 62.45 | 1.487 | 22 |
| 62.64 | 1.483 | 22 |

---

3.
# Li2MnFe2O6
Calculated XRD peak list, a wavelength of 1.5418 Å. Input: a crystal structure in the Materials Project, relaxed with GGA+U.

Cell and atoms:
Cell lengths 6.7019, 6.7379, 8.4211 Å; angles 71.07, 70.74, 83.07 degrees
Fractional positions:
Li: 0.0000 0.1730 0.3315
Li: 0.0000 0.8270 0.6685
Li: 0.3319 0.1743 0.9975
Li: 0.3321 0.4976 0.6712
Li: 0.6679 0.5024 0.3288
Li: 0.6681 0.8257 0.0025
Mn: 0.0000 0.5000 0.5000
Mn: 0.3318 0.5009 0.1663
Mn: 0.6682 0.4991 0.8337
Fe: 0.0029 0.8341 0.1646
Fe: 0.3317 0.8421 0.8321
Fe: 0.3367 0.1621 0.5016
Fe: 0.6633 0.8379 0.4984
Fe: 0.6683 0.1579 0.1679
Fe: 0.9971 0.1659 0.8354
O: 0.0085 0.8540 0.9138
O: 0.0193 0.1947 0.5774
O: 0.0200 0.5066 0.2636
O: 0.3128 0.4868 0.4090
O: 0.3148 0.1621 0.7506
O: 0.3231 0.8063 0.0785
O: 0.3419 0.2012 0.2449
O: 0.3437 0.8434 0.5930
O: 0.3630 0.5056 0.9217
O: 0.6370 0.4944 0.0783
O: 0.6563 0.1566 0.4070
O: 0.6581 0.7988 0.7551
O: 0.6769 0.1937 0.9215
O: 0.6852 0.8379 0.2494
O: 0.6872 0.5132 0.5910
O: 0.9800 0.4934 0.7364
O: 0.9807 0.8053 0.4226
O: 0.9915 0.1460 0.0862

Largest 12 diffraction maxima, by angle, 10 to 90 degrees two-theta:
| 2θ/deg | d_spacing | I/Imax |
| --- | --- | --- |
| 17.91 | 4.952 | 100 |
| 35.30 | 2.543 | 12 |
| 35.55 | 2.525 | 24 |
| 37.00 | 2.429 | 7 |
| 42.56 | 2.124 | 21 |
| 42.93 | 2.107 | 42 |
| 46.80 | 1.941 | 7 |
| 61.48 | 1.508 | 5 |
| 61.65 | 1.504 | 5 |
| 61.76 | 1.502 | 5 |
| 62.52 | 1.486 | 11 |
| 62.90 | 1.478 | 6 |